EuMg2Ga2: computed powder diffractogram (copper Kα), based on a structure optimized by DFT (GGA-PBE).
Neutral-atom scattering factors, no anomalous dispersion.

Top 10 peaks for 2θ = 15–90°, by angle:
2theta, d_spacing, I_rel
15.12, 5.859, 45
28.06, 3.180, 76
30.31, 2.949, 94
32.03, 2.795, 100
40.11, 2.248, 59
43.55, 2.078, 66
51.09, 1.788, 43
58.01, 1.590, 19
60.68, 1.526, 49
67.82, 1.382, 22

```
EuMg2Ga2
1.0
4.4966 0.0000 0.0000
0.0000 4.4966 0.0000
0.0000 0.0000 11.7170
Eu Mg Ga
2 4 4
Direct
0.0000 0.0000 0.0000
0.5000 0.5000 0.5000
0.0000 0.5000 0.2500
0.0000 0.5000 0.7500
0.5000 0.0000 0.2500
0.5000 0.0000 0.7500
0.0000 0.0000 0.3934
0.0000 0.0000 0.6066
0.5000 0.5000 0.1066
0.5000 0.5000 0.8934
```